CsFeAgF6: simulated powder XRD pattern (Cu Kα X-rays), based on DFT lattice parameters and positions (GGA+U).
Kinematic intensities with the Lorentz-polarization factor, no thermal factor.

Structural model:
abc: 7.5794 7.7009 10.7136
angles: 90.00 90.00 90.00
Space group Pnma (No. 62)
Asymmetric unit:
Cs: 0.0191 0.2500 0.1242
Fe: 0.0000 0.0000 0.5000
Ag: 0.1974 0.2500 0.7552
F: 0.0560 0.7500 0.1734
F: 0.0653 0.2500 0.4887
F: 0.1248 0.5133 0.6595
F: 0.2207 0.5522 0.4163

Largest 8 diffraction maxima, by angle, 2θ = 10–90°:
- 2θ = 23.1°, I = 14
- 2θ = 23.4°, I = 33
- 2θ = 27.3°, I = 44
- 2θ = 27.5°, I = 100
- 2θ = 28.5°, I = 19
- 2θ = 43.4°, I = 24
- 2θ = 43.9°, I = 20
- 2θ = 47.8°, I = 27